Entry 1:
Diffraction record for CePaBr5. The X-ray diffraction stick pattern is simulated, not measured: it uses the GGA-PBE geometry in Alexandria and λ = 1.5418 Å (Cu Kα).
No peak broadening, texture or thermal motion is included.

Cell and atoms:
Cell: 8.6555 3.9887 13.9758 Å, 90.00 95.45 90.00°
Positions (direct):
Ce 0.1047 0.2500 0.1508
Ce 0.8953 0.7500 0.8492
Pa 0.4237 0.7500 0.3454
Pa 0.5763 0.2500 0.6546
Br 0.0744 0.7500 0.3109
Br 0.1394 0.2500 0.9301
Br 0.3171 0.2500 0.4870
Br 0.3553 0.7500 0.7123
Br 0.3595 0.7500 0.1307
Br 0.6405 0.2500 0.8693
Br 0.6447 0.2500 0.2877
Br 0.6829 0.7500 0.5130
Br 0.8606 0.7500 0.0699
Br 0.9256 0.2500 0.6891

Top 10 peaks for 10° ≤ 2θ ≤ 80°, by intensity:
2θ 11.6, intensity 100; 2θ 30.8, intensity 38; 2θ 32.4, intensity 36; 2θ 30.5, intensity 30; 2θ 25.7, intensity 20; 2θ 29.6, intensity 19; 2θ 41.6, intensity 17; 2θ 45.5, intensity 16; 2θ 42.0, intensity 16; 2θ 40.1, intensity 15

Entry 2:
Diffraction record for Ce3PbBr3. The X-ray diffraction stick pattern is simulated, not measured: it uses the GGA-PBE geometry in Alexandria and λ = 1.5418 Å (Cu Kα).
No peak broadening, texture or thermal motion is included.

Cell and atoms:
Cell: 11.5353 11.5353 11.5353 Å, 37.63 37.63 37.63°
Positions (direct):
Ce 0.0577 0.3673 0.7478
Ce 0.2522 0.9423 0.6327
Ce 0.3673 0.7478 0.0577
Ce 0.6327 0.2522 0.9423
Ce 0.7478 0.0577 0.3673
Ce 0.9423 0.6327 0.2522
Pb 0.3333 0.3333 0.3333
Pb 0.6667 0.6667 0.6667
Br 0.1120 0.7602 0.4646
Br 0.2398 0.5354 0.8880
Br 0.4646 0.1120 0.7602
Br 0.5354 0.8880 0.2398
Br 0.7602 0.4646 0.1120
Br 0.8880 0.2398 0.5354

Top 10 peaks for 10° ≤ 2θ ≤ 80°, by intensity:
2θ 29.2, intensity 100; 2θ 41.6, intensity 39; 2θ 42.1, intensity 35; 2θ 52.0, intensity 18; 2θ 25.3, intensity 18; 2θ 68.3, intensity 16; 2θ 34.8, intensity 14; 2θ 69.1, intensity 14; 2θ 60.6, intensity 12; 2θ 76.5, intensity 11

Entry 3:
Diffraction record for CePbBr5. The X-ray diffraction stick pattern is simulated, not measured: it uses the GGA-PBE geometry in Alexandria and λ = 1.5418 Å (Cu Kα).
No peak broadening, texture or thermal motion is included.

Cell and atoms:
Cell: 7.7307 7.7307 11.4173 Å, 109.21 109.21 85.22°
Positions (direct):
Ce 0.0000 0.5000 0.0000
Ce 0.5000 0.0000 0.5000
Pb 0.0844 0.9156 0.7500
Pb 0.9156 0.0844 0.2500
Br 0.1859 0.6107 0.8510
Br 0.2041 0.2515 0.5129
Br 0.2322 0.7678 0.2500
Br 0.2515 0.2041 0.0129
Br 0.3893 0.8141 0.6490
Br 0.6107 0.1859 0.3510
Br 0.7485 0.7959 0.9871
Br 0.7678 0.2322 0.7500
Br 0.7959 0.7485 0.4871
Br 0.8141 0.3893 0.1490

Top 10 peaks for 10° ≤ 2θ ≤ 80°, by intensity:
2θ 17.0, intensity 100; 2θ 18.3, intensity 93; 2θ 29.8, intensity 84; 2θ 27.2, intensity 77; 2θ 12.1, intensity 72; 2θ 37.9, intensity 57; 2θ 40.8, intensity 52; 2θ 25.6, intensity 42; 2θ 37.1, intensity 29; 2θ 48.9, intensity 25

Entry 4:
Diffraction record for CeTl2PbBr8. The X-ray diffraction stick pattern is simulated, not measured: it uses the GGA-PBE geometry in Alexandria and λ = 1.5418 Å (Cu Kα).
No peak broadening, texture or thermal motion is included.

Cell and atoms:
Cell: 7.1117 9.0656 7.6739 Å, 90.00 91.86 90.00°
Positions (direct):
Ce 0.0000 0.0000 0.0000
Tl 0.5000 0.2551 0.5000
Tl 0.5000 0.7449 0.5000
Pb 0.0000 0.5000 0.0000
Br 0.2059 0.0000 0.3105
Br 0.2292 0.2302 0.8712
Br 0.2292 0.7698 0.8712
Br 0.2455 0.5000 0.3235
Br 0.7545 0.5000 0.6765
Br 0.7708 0.2302 0.1288
Br 0.7708 0.7698 0.1288
Br 0.7941 0.0000 0.6895

Top 10 peaks for 10° ≤ 2θ ≤ 80°, by intensity:
2θ 33.8, intensity 100; 2θ 16.7, intensity 99; 2θ 23.3, intensity 96; 2θ 17.3, intensity 67; 2θ 40.5, intensity 56; 2θ 34.4, intensity 46; 2θ 26.2, intensity 42; 2θ 32.8, intensity 36; 2θ 39.8, intensity 32; 2θ 35.0, intensity 31

Entry 5:
Diffraction record for CePmBr6. The X-ray diffraction stick pattern is simulated, not measured: it uses the GGA-PBE geometry in Alexandria and λ = 1.5418 Å (Cu Kα).
No peak broadening, texture or thermal motion is included.

Cell and atoms:
Cell: 7.2389 13.1321 7.2345 Å, 90.00 106.32 90.00°
Positions (direct):
Ce 0.0000 0.0000 0.0000
Ce 0.5000 0.5000 0.0000
Pm 0.0000 0.5000 0.5000
Pm 0.5000 0.0000 0.5000
Br 0.2452 0.3516 0.7483
Br 0.2452 0.6484 0.7483
Br 0.2487 0.0000 0.7456
Br 0.2513 0.5000 0.2544
Br 0.2548 0.1484 0.2517
Br 0.2548 0.8516 0.2517
Br 0.7452 0.1484 0.7483
Br 0.7452 0.8516 0.7483
Br 0.7487 0.5000 0.7456
Br 0.7513 0.0000 0.2544
Br 0.7548 0.3516 0.2517
Br 0.7548 0.6484 0.2517

Top 10 peaks for 10° ≤ 2θ ≤ 80°, by intensity:
2θ 29.0, intensity 100; 2θ 42.9, intensity 68; 2θ 13.5, intensity 67; 2θ 16.7, intensity 66; 2θ 30.9, intensity 44; 2θ 21.6, intensity 23; 2θ 41.6, intensity 21; 2θ 52.7, intensity 19; 2θ 41.2, intensity 16; 2θ 52.4, intensity 16

Entry 6:
Diffraction record for CePrRhBr. The X-ray diffraction stick pattern is simulated, not measured: it uses the GGA-PBE geometry in Alexandria and λ = 1.5418 Å (Cu Kα).
No peak broadening, texture or thermal motion is included.

Cell and atoms:
Cell: 4.0618 4.0618 23.9336 Å, 90.00 90.00 120.00°
Positions (direct):
Ce 0.0000 0.0000 0.0000
Ce 0.3333 0.6667 0.6667
Ce 0.6667 0.3333 0.3333
Pr 0.0000 0.0000 0.7986
Pr 0.3333 0.6667 0.4653
Pr 0.6667 0.3333 0.1319
Rh 0.0000 0.0000 0.3938
Rh 0.3333 0.6667 0.0604
Rh 0.6667 0.3333 0.7271
Br 0.0000 0.0000 0.5661
Br 0.3333 0.6667 0.2328
Br 0.6667 0.3333 0.8994

Top 10 peaks for 10° ≤ 2θ ≤ 80°, by intensity:
2θ 31.6, intensity 100; 2θ 44.6, intensity 44; 2θ 11.1, intensity 26; 2θ 45.9, intensity 24; 2θ 29.5, intensity 22; 2θ 26.4, intensity 22; 2θ 55.7, intensity 20; 2θ 36.7, intensity 18; 2θ 74.0, intensity 17; 2θ 25.6, intensity 10

Entry 7:
Diffraction record for Ce4PtBr5. The X-ray diffraction stick pattern is simulated, not measured: it uses the GGA-PBE geometry in Alexandria and λ = 1.5418 Å (Cu Kα).
No peak broadening, texture or thermal motion is included.

Cell and atoms:
Cell: 9.4633 9.4633 8.7996 Å, 100.61 100.61 24.55°
Positions (direct):
Ce 0.0032 0.0032 0.2222
Ce 0.3327 0.3327 0.9385
Ce 0.6673 0.6673 0.0615
Ce 0.9968 0.9968 0.7778
Pt 0.5000 0.5000 0.0000
Br 0.1652 0.1652 0.7976
Br 0.1684 0.1684 0.3205
Br 0.5000 0.5000 0.5000
Br 0.8316 0.8316 0.6795
Br 0.8348 0.8348 0.2024

Top 10 peaks for 10° ≤ 2θ ≤ 80°, by intensity:
2θ 30.1, intensity 100; 2θ 10.2, intensity 74; 2θ 29.5, intensity 61; 2θ 41.9, intensity 46; 2θ 43.4, intensity 36; 2θ 54.8, intensity 23; 2θ 41.1, intensity 18; 2θ 45.1, intensity 18; 2θ 24.5, intensity 12; 2θ 31.4, intensity 11

Entry 8:
Diffraction record for Ce2PtBr2. The X-ray diffraction stick pattern is simulated, not measured: it uses the GGA-PBE geometry in Alexandria and λ = 1.5418 Å (Cu Kα).
No peak broadening, texture or thermal motion is included.

Cell and atoms:
Cell: 4.1598 4.1598 32.1612 Å, 90.00 90.00 120.00°
Positions (direct):
Ce 0.0000 0.0000 0.1157
Ce 0.0000 0.0000 0.8843
Ce 0.3333 0.6667 0.5510
Ce 0.3333 0.6667 0.7823
Ce 0.6667 0.3333 0.2177
Ce 0.6667 0.3333 0.4490
Pt 0.0000 0.0000 0.5000
Pt 0.3333 0.6667 0.1667
Pt 0.6667 0.3333 0.8333
Br 0.0000 0.0000 0.2779
Br 0.0000 0.0000 0.7221
Br 0.3333 0.6667 0.3888
Br 0.3333 0.6667 0.9445
Br 0.6667 0.3333 0.0555
Br 0.6667 0.3333 0.6112

Top 10 peaks for 10° ≤ 2θ ≤ 80°, by intensity:
2θ 28.4, intensity 100; 2θ 44.4, intensity 47; 2θ 33.4, intensity 46; 2θ 43.5, intensity 40; 2θ 37.5, intensity 21; 2θ 69.3, intensity 18; 2θ 52.8, intensity 18; 2θ 70.7, intensity 15; 2θ 55.9, intensity 11; 2θ 63.9, intensity 11

Entry 9:
Diffraction record for Rb2Ce3Br8. The X-ray diffraction stick pattern is simulated, not measured: it uses the GGA-PBE geometry in Alexandria and λ = 1.5418 Å (Cu Kα).
No peak broadening, texture or thermal motion is included.

Cell and atoms:
Cell: 9.7737 9.7737 7.0686 Å, 101.69 101.69 51.38°
Positions (direct):
Rb 0.2400 0.2400 0.1710
Rb 0.7600 0.7600 0.8290
Ce 0.2772 0.7228 0.5000
Ce 0.5000 0.5000 0.0000
Ce 0.7228 0.2772 0.5000
Br 0.0966 0.0966 0.4144
Br 0.1487 0.6338 0.1040
Br 0.3662 0.8513 0.8960
Br 0.3800 0.3800 0.6086
Br 0.6200 0.6200 0.3914
Br 0.6338 0.1487 0.1040
Br 0.8513 0.3662 0.8960
Br 0.9034 0.9034 0.5856

Top 10 peaks for 10° ≤ 2θ ≤ 80°, by intensity:
2θ 30.4, intensity 100; 2θ 10.3, intensity 79; 2θ 30.1, intensity 60; 2θ 25.6, intensity 51; 2θ 44.0, intensity 49; 2θ 34.3, intensity 47; 2θ 18.2, intensity 29; 2θ 42.6, intensity 26; 2θ 11.6, intensity 25; 2θ 42.7, intensity 24

Entry 10:
Diffraction record for Rb3CeBr7. The X-ray diffraction stick pattern is simulated, not measured: it uses the GGA-PBE geometry in Alexandria and λ = 1.5418 Å (Cu Kα).
No peak broadening, texture or thermal motion is included.

Cell and atoms:
Cell: 8.0634 8.0634 8.8948 Å, 116.59 116.59 85.03°
Positions (direct):
Rb 0.0000 0.0000 0.0000
Rb 0.2847 0.7340 0.5820
Rb 0.7340 0.2847 0.5820
Ce 0.5572 0.5572 0.1349
Br 0.2002 0.5312 0.8281
Br 0.3700 0.3700 0.2346
Br 0.3797 0.8697 0.3001
Br 0.5312 0.2002 0.8281
Br 0.7001 0.7001 0.9693
Br 0.8584 0.8584 0.5085
Br 0.8697 0.3797 0.3001

Top 10 peaks for 10° ≤ 2θ ≤ 80°, by intensity:
2θ 32.9, intensity 100; 2θ 20.6, intensity 70; 2θ 30.2, intensity 66; 2θ 12.4, intensity 48; 2θ 31.7, intensity 42; 2θ 20.3, intensity 31; 2θ 37.6, intensity 29; 2θ 36.0, intensity 27; 2θ 34.7, intensity 27; 2θ 33.0, intensity 26

Entry 11:
Diffraction record for RbCe3Br8. The X-ray diffraction stick pattern is simulated, not measured: it uses the GGA-PBE geometry in Alexandria and λ = 1.5418 Å (Cu Kα).
No peak broadening, texture or thermal motion is included.

Cell and atoms:
Cell: 9.8365 9.8365 9.8365 Å, 50.02 50.02 50.02°
Positions (direct):
Rb 0.0000 0.0000 0.0000
Ce 0.0000 0.0000 0.5000
Ce 0.0000 0.5000 0.0000
Ce 0.5000 0.0000 0.0000
Br 0.2361 0.7338 0.7338
Br 0.2394 0.2394 0.2394
Br 0.2662 0.2662 0.7639
Br 0.2662 0.7639 0.2662
Br 0.7338 0.2361 0.7338
Br 0.7338 0.7338 0.2361
Br 0.7606 0.7606 0.7606
Br 0.7639 0.2662 0.2662

Top 10 peaks for 10° ≤ 2θ ≤ 80°, by intensity:
2θ 28.4, intensity 100; 2θ 10.3, intensity 70; 2θ 37.5, intensity 37; 2θ 43.5, intensity 33; 2θ 12.8, intensity 25; 2θ 34.9, intensity 24; 2θ 52.8, intensity 18; 2θ 46.2, intensity 16; 2θ 70.7, intensity 15; 2θ 23.8, intensity 14

Entry 12:
Diffraction record for Rb3Ce2Br9. The X-ray diffraction stick pattern is simulated, not measured: it uses the GGA-PBE geometry in Alexandria and λ = 1.5418 Å (Cu Kα).
No peak broadening, texture or thermal motion is included.

Cell and atoms:
Cell: 10.4118 10.4118 10.4118 Å, 85.58 85.58 85.58°
Positions (direct):
Rb 0.0654 0.7500 0.4346
Rb 0.2500 0.5654 0.9346
Rb 0.4346 0.0654 0.7500
Rb 0.5654 0.9346 0.2500
Rb 0.7500 0.4346 0.0654
Rb 0.9346 0.2500 0.5654
Ce 0.1443 0.1443 0.1443
Ce 0.3557 0.3557 0.3557
Ce 0.6443 0.6443 0.6443
Ce 0.8557 0.8557 0.8557
Br 0.0614 0.2766 0.9132
Br 0.0868 0.9386 0.7234
Br 0.0942 0.4058 0.2500
Br 0.2234 0.4386 0.5868
Br 0.2500 0.0942 0.4058
Br 0.2766 0.9132 0.0614
Br 0.4058 0.2500 0.0942
Br 0.4132 0.7766 0.5614
Br 0.4386 0.5868 0.2234
Br 0.5614 0.4132 0.7766
Br 0.5868 0.2234 0.4386
Br 0.5942 0.7500 0.9058
Br 0.7234 0.0868 0.9386
Br 0.7500 0.9058 0.5942
Br 0.7766 0.5614 0.4132
Br 0.9058 0.5942 0.7500
Br 0.9132 0.0614 0.2766
Br 0.9386 0.7234 0.0868

Top 10 peaks for 10° ≤ 2θ ≤ 80°, by intensity:
2θ 28.8, intensity 100; 2θ 37.7, intensity 31; 2θ 12.5, intensity 30; 2θ 44.4, intensity 27; 2θ 49.6, intensity 21; 2θ 27.6, intensity 19; 2θ 32.2, intensity 17; 2θ 21.8, intensity 13; 2θ 33.5, intensity 11; 2θ 23.4, intensity 11

Entry 13:
Diffraction record for RbCe2TlBr8. The X-ray diffraction stick pattern is simulated, not measured: it uses the GGA-PBE geometry in Alexandria and λ = 1.5418 Å (Cu Kα).
No peak broadening, texture or thermal motion is included.

Cell and atoms:
Cell: 8.0462 8.0462 8.6545 Å, 90.00 90.00 120.00°
Positions (direct):
Rb 0.0000 0.0000 0.0000
Ce 0.3333 0.6667 0.4139
Ce 0.6667 0.3333 0.5861
Tl 0.0000 0.0000 0.5000
Br 0.0588 0.3869 0.6598
Br 0.3280 0.9412 0.6598
Br 0.3333 0.6667 0.0910
Br 0.3869 0.3280 0.3402
Br 0.6131 0.6720 0.6598
Br 0.6667 0.3333 0.9090
Br 0.6720 0.0588 0.3402
Br 0.9412 0.6131 0.3402

Top 10 peaks for 10° ≤ 2θ ≤ 80°, by intensity:
2θ 10.2, intensity 100; 2θ 30.3, intensity 95; 2θ 22.1, intensity 63; 2θ 38.8, intensity 61; 2θ 24.4, intensity 42; 2θ 27.6, intensity 30; 2θ 35.6, intensity 29; 2θ 46.7, intensity 26; 2θ 33.6, intensity 26; 2θ 50.0, intensity 18